For Li2FeOF3, a cell relaxed with PBE+U gives the computed powder diffraction line list in this record (Cu Kα X-rays).
Peak positions follow from Bragg's law for the DFT cell and can differ from measured ones.

Top 12 peaks for 10° ≤ 2θ ≤ 90°, most intense first:
18.02°, rel. 1000
35.42°, rel. 957
35.13°, rel. 851
30.04°, rel. 793
18.27°, rel. 750
21.15°, rel. 731
20.89°, rel. 554
43.06°, rel. 489
30.28°, rel. 462
61.79°, rel. 456
37.04°, rel. 429
62.45°, rel. 391

Cell and atoms:
Unit cell a=5.9493 b=5.9493 c=5.9823 alpha=119.54 beta=119.54 gamma=59.48
Element x y z (fractional)
Li  0.0000  0.0000  0.0000
Li  0.3527  0.8831  0.5956
Li  0.3626  0.3626  0.5964
Li  0.8831  0.3527  0.5956
Fe  0.3645  0.3645  0.1188
Fe  0.7628  0.7628  0.2324
O  0.1397  0.6132  0.3452
O  0.6132  0.1397  0.3452
F  0.1305  0.1305  0.8558
F  0.1322  0.1322  0.3824
F  0.1397  0.5942  0.8642
F  0.5942  0.1397  0.8642
F  0.6170  0.6170  0.3478
F  0.6206  0.6206  0.8421


For LiFe8O14F2, a cell relaxed with PBE+U gives the computed powder diffraction line list in this record (Cu Kα X-rays).
Peak positions follow from Bragg's law for the DFT cell and can differ from measured ones.

Top 12 peaks for 10° ≤ 2θ ≤ 90°, most intense first:
26.92°, rel. 1000
26.60°, rel. 994
35.77°, rel. 548
35.56°, rel. 477
53.23°, rel. 423
52.85°, rel. 259
66.82°, rel. 217
53.60°, rel. 167
55.50°, rel. 165
53.74°, rel. 163
62.36°, rel. 153
37.82°, rel. 152

Cell and atoms:
Unit cell a=5.6157 b=7.2571 c=7.3378 alpha=79.46 beta=70.13 gamma=70.58
Element x y z (fractional)
Li  0.0000  0.0000  0.0000
Fe  0.0115  0.2488  0.7218
Fe  0.0283  0.7531  0.7355
Fe  0.0400  0.2403  0.2438
Fe  0.0594  0.7177  0.2573
Fe  0.5100  0.9969  0.9725
Fe  0.5312  0.4971  0.9826
Fe  0.5309  0.9915  0.5005
Fe  0.5526  0.4962  0.4757
O  0.1844  0.6846  0.9706
O  0.1912  0.9684  0.1746
O  0.1929  0.1731  0.4664
O  0.3264  0.0667  0.7701
O  0.3706  0.2597  0.0577
O  0.3786  0.7620  0.5556
O  0.4033  0.5521  0.2575
O  0.6814  0.7290  0.9135
O  0.6837  0.4298  0.7080
O  0.7001  0.2183  0.4139
O  0.8419  0.0247  0.8055
O  0.8746  0.3059  0.9916
O  0.8758  0.8100  0.5113
O  0.8980  0.5079  0.3023
F  0.1901  0.4696  0.6643
F  0.7054  0.9247  0.2072


For Li2FeOF3, a cell relaxed with PBE+U gives the computed powder diffraction line list in this record (Cu Kα X-rays).
Peak positions follow from Bragg's law for the DFT cell and can differ from measured ones.

Top 12 peaks for 10° ≤ 2θ ≤ 90°, most intense first:
18.24°, rel. 1000
42.41°, rel. 736
43.41°, rel. 471
18.45°, rel. 430
35.11°, rel. 319
33.16°, rel. 215
61.71°, rel. 204
26.18°, rel. 176
62.90°, rel. 141
36.08°, rel. 119
62.31°, rel. 110
56.09°, rel. 89

Cell and atoms:
Unit cell a=5.1983 b=5.1983 c=10.4533 alpha=101.82 beta=101.82 gamma=33.32
Element x y z (fractional)
Li  0.0000  0.0000  0.0000
Li  0.0000  0.0000  0.5000
Li  0.2251  0.2251  0.3876
Li  0.7749  0.7749  0.6124
Fe  0.2273  0.2273  0.8717
Fe  0.7727  0.7727  0.1283
O  0.3620  0.3620  0.0558
O  0.6380  0.6380  0.9442
F  0.1401  0.1401  0.1708
F  0.1505  0.1505  0.6879
F  0.3702  0.3702  0.5495
F  0.6298  0.6298  0.4505
F  0.8495  0.8495  0.3121
F  0.8599  0.8599  0.8292


For LiFe8O12F4, a cell relaxed with PBE+U gives the computed powder diffraction line list in this record (Cu Kα X-rays).
Peak positions follow from Bragg's law for the DFT cell and can differ from measured ones.

Top 12 peaks for 10° ≤ 2θ ≤ 90°, most intense first:
24.62°, rel. 1000
27.64°, rel. 860
35.51°, rel. 491
35.25°, rel. 396
50.43°, rel. 360
50.99°, rel. 293
54.33°, rel. 268
65.34°, rel. 220
53.77°, rel. 220
39.13°, rel. 163
36.85°, rel. 147
62.19°, rel. 144

Cell and atoms:
Unit cell a=7.8248 b=7.8248 c=6.4562 alpha=91.38 beta=91.38 gamma=44.85
Element x y z (fractional)
Li  0.0000  0.0000  0.0000
Fe  0.0828  0.6585  0.2551
Fe  0.1164  0.1903  0.2567
Fe  0.3415  0.9172  0.7449
Fe  0.3434  0.4150  0.7539
Fe  0.5850  0.6566  0.2461
Fe  0.5882  0.1570  0.2521
Fe  0.8097  0.8836  0.7433
Fe  0.8430  0.4118  0.7479
O  0.0131  0.0827  0.7331
O  0.0833  0.6477  0.5582
O  0.0899  0.6787  0.9441
O  0.2517  0.3226  0.2335
O  0.3213  0.9101  0.0559
O  0.3523  0.9167  0.4418
O  0.5754  0.1558  0.5569
O  0.6048  0.1608  0.9430
O  0.6774  0.7483  0.7665
O  0.8392  0.3952  0.0570
O  0.8442  0.4246  0.4431
O  0.9173  0.9869  0.2669
F  0.1934  0.2670  0.7689
F  0.4363  0.5103  0.2632
F  0.4897  0.5637  0.7368
F  0.7330  0.8066  0.2311


For Li3FeOF3, a cell relaxed with PBE+U gives the computed powder diffraction line list in this record (Cu Kα X-rays).
Peak positions follow from Bragg's law for the DFT cell and can differ from measured ones.

Top 12 peaks for 10° ≤ 2θ ≤ 90°, most intense first:
42.61°, rel. 1000
18.21°, rel. 651
43.03°, rel. 521
18.66°, rel. 369
61.93°, rel. 265
35.09°, rel. 239
21.64°, rel. 198
62.48°, rel. 139
40.05°, rel. 134
62.24°, rel. 130
61.72°, rel. 126
62.03°, rel. 123

Cell and atoms:
Unit cell a=2.9954 b=5.1764 c=10.3771 alpha=79.63 beta=89.88 gamma=73.36
Element x y z (fractional)
Li  0.0000  0.0000  0.0000
Li  0.0000  0.0000  0.5000
Li  0.2498  0.4984  0.3830
Li  0.4976  0.9966  0.7509
Li  0.5024  0.0034  0.2491
Li  0.7502  0.5016  0.6170
Fe  0.2351  0.5166  0.8829
Fe  0.7649  0.4834  0.1171
O  0.3851  0.2384  0.0674
O  0.6149  0.7616  0.9326
F  0.1219  0.7541  0.6762
F  0.1362  0.7359  0.2031
F  0.3729  0.2520  0.5616
F  0.6271  0.7480  0.4384
F  0.8638  0.2641  0.7969
F  0.8781  0.2459  0.3238


For Li2FeO2F, a cell relaxed with PBE+U gives the computed powder diffraction line list in this record (Cu Kα X-rays).
Peak positions follow from Bragg's law for the DFT cell and can differ from measured ones.

Top 12 peaks for 10° ≤ 2θ ≤ 90°, most intense first:
18.23°, rel. 1000
42.28°, rel. 431
42.79°, rel. 420
43.06°, rel. 419
23.25°, rel. 272
62.32°, rel. 223
20.80°, rel. 216
19.70°, rel. 191
20.50°, rel. 168
35.14°, rel. 148
35.32°, rel. 144
34.77°, rel. 143

Cell and atoms:
Unit cell a=5.1696 b=5.1902 c=9.8921 alpha=79.81 beta=85.59 gamma=60.68
Element x y z (fractional)
Li  0.0000  0.0000  0.0000
Li  0.0016  0.2720  0.2469
Li  0.0298  0.7339  0.7392
Li  0.0373  0.4627  0.4960
Li  0.3336  0.1079  0.7501
Li  0.3629  0.5464  0.2413
Li  0.6957  0.8965  0.2521
Li  0.7233  0.3568  0.7478
Fe  0.3539  0.8299  0.4960
Fe  0.3650  0.3182  0.9959
Fe  0.6651  0.2049  0.4959
Fe  0.7359  0.6349  0.9926
O  0.0208  0.0925  0.6080
O  0.0319  0.3717  0.8764
O  0.0380  0.5970  0.1126
O  0.3652  0.4619  0.6123
O  0.3851  0.1690  0.3841
O  0.6633  0.0257  0.8841
O  0.6697  0.3144  0.1064
O  0.6710  0.5432  0.3788
F  0.0258  0.8720  0.3661
F  0.3578  0.9514  0.1209
F  0.3591  0.6955  0.8703
F  0.6878  0.7818  0.6215


For Li5FeO3F, a cell relaxed with PBE+U gives the computed powder diffraction line list in this record (Cu Kα X-rays).
Peak positions follow from Bragg's law for the DFT cell and can differ from measured ones.

Top 12 peaks for 10° ≤ 2θ ≤ 90°, most intense first:
21.05°, rel. 1000
32.87°, rel. 769
57.80°, rel. 294
23.92°, rel. 288
31.46°, rel. 259
45.19°, rel. 246
55.12°, rel. 211
44.00°, rel. 210
26.74°, rel. 206
40.41°, rel. 182
25.96°, rel. 172
42.86°, rel. 167

Cell and atoms:
Unit cell a=5.4643 b=6.6670 c=5.4657 alpha=90.00 beta=94.21 gamma=90.00
Element x y z (fractional)
Li  0.0000  0.0000  0.0000
Li  0.0449  0.2707  0.4545
Li  0.0449  0.7293  0.4545
Li  0.2949  0.5000  0.7085
Li  0.4681  0.2496  0.1745
Li  0.4681  0.7504  0.1745
Li  0.6294  0.5000  0.4641
Li  0.7501  0.2297  0.7481
Li  0.7501  0.7703  0.7481
Li  0.7588  0.0000  0.3356
Fe  0.3327  0.0000  0.6400
Fe  0.9311  0.5000  0.0379
O  0.4313  0.2646  0.5384
O  0.4313  0.7354  0.5384
O  0.8315  0.2353  0.1371
O  0.8315  0.7647  0.1371
O  0.9348  0.5000  0.6549
O  0.9488  0.0000  0.6399
F  0.3459  0.5000  0.0547
F  0.3467  0.0000  0.0531


For LiFe3O2F6, a cell relaxed with PBE+U gives the computed powder diffraction line list in this record (Cu Kα X-rays).
Peak positions follow from Bragg's law for the DFT cell and can differ from measured ones.

Top 12 peaks for 10° ≤ 2θ ≤ 90°, most intense first:
30.78°, rel. 1000
24.02°, rel. 720
29.85°, rel. 572
25.38°, rel. 556
29.46°, rel. 496
55.28°, rel. 428
21.32°, rel. 341
52.21°, rel. 334
52.71°, rel. 330
40.50°, rel. 330
39.69°, rel. 329
41.89°, rel. 305

Cell and atoms:
Unit cell a=5.1789 b=7.1517 c=7.5500 alpha=78.92 beta=89.19 gamma=89.73
Element x y z (fractional)
Li  0.2139  0.1608  0.1631
Li  0.7861  0.8392  0.8369
Fe  0.2420  0.1681  0.6755
Fe  0.2602  0.6826  0.6801
Fe  0.2862  0.6613  0.1786
Fe  0.7138  0.3387  0.8214
Fe  0.7398  0.3174  0.3199
Fe  0.7580  0.8319  0.3245
O  0.1154  0.9222  0.6892
O  0.4036  0.4228  0.7004
O  0.5964  0.5772  0.2996
O  0.8846  0.0778  0.3108
F  0.0415  0.1965  0.9085
F  0.0830  0.4277  0.1931
F  0.0957  0.6870  0.4257
F  0.4079  0.2023  0.4301
F  0.4233  0.9206  0.1914
F  0.4252  0.6862  0.9304
F  0.5748  0.3138  0.0696
F  0.5767  0.0794  0.8086
F  0.5921  0.7977  0.5699
F  0.9043  0.3130  0.5743
F  0.9170  0.5723  0.8069
F  0.9585  0.8035  0.0915


For Li8FeO4F2, a cell relaxed with PBE+U gives the computed powder diffraction line list in this record (Cu Kα X-rays).
Peak positions follow from Bragg's law for the DFT cell and can differ from measured ones.

Top 12 peaks for 10° ≤ 2θ ≤ 90°, most intense first:
24.22°, rel. 1000
17.82°, rel. 745
32.77°, rel. 730
24.58°, rel. 567
32.88°, rel. 481
16.27°, rel. 426
31.69°, rel. 415
18.30°, rel. 375
55.38°, rel. 365
39.82°, rel. 361
60.63°, rel. 253
37.64°, rel. 250

Cell and atoms:
Unit cell a=5.6496 b=5.6496 c=10.8959 alpha=90.00 beta=90.00 gamma=61.76
Element x y z (fractional)
Li  0.0689  0.9311  0.5000
Li  0.1176  0.5061  0.0144
Li  0.1610  0.1687  0.7795
Li  0.1687  0.1610  0.2795
Li  0.1849  0.8151  0.1529
Li  0.1947  0.5062  0.6401
Li  0.4938  0.8053  0.6401
Li  0.4939  0.8824  0.0144
Li  0.5061  0.1176  0.5144
Li  0.5062  0.1947  0.1401
Li  0.8053  0.4938  0.1401
Li  0.8151  0.1849  0.6529
Li  0.8313  0.8390  0.7795
Li  0.8390  0.8313  0.2795
Li  0.8824  0.4939  0.5144
Li  0.9311  0.0689  0.0000
Fe  0.4566  0.5434  0.3871
Fe  0.5434  0.4566  0.8871
O  0.1518  0.8482  0.3281
O  0.1677  0.1724  0.0942
O  0.1724  0.1677  0.5942
O  0.4740  0.5260  0.0609
O  0.5260  0.4740  0.5609
O  0.8276  0.8323  0.0942
O  0.8323  0.8276  0.5942
O  0.8482  0.1518  0.8281
F  0.1576  0.5109  0.8246
F  0.4891  0.8424  0.8246
F  0.5109  0.1576  0.3246
F  0.8424  0.4891  0.3246